[1]
For Ac2CeAgO6, a structure optimized by DFT (PBE) gives the simulated powder diffraction line list in this record (λ = 1.5418 Å (Cu Kα)).
Kinematic intensities with the Lorentz-polarization factor, no thermal factor.

Structure:
Unit cell a=5.6776 b=5.6776 c=5.6089 alpha=90.00 beta=90.00 gamma=90.00
Atoms (fractional coordinates):
Ac1 0.0000 0.5000 0.0000
Ac2 0.5000 0.0000 0.0000
Ce1 0.0000 0.0000 0.5706
Ag1 0.5000 0.5000 0.5500
O1 0.0000 0.0000 0.1771
O2 0.2423 0.2423 0.7414
O3 0.2423 0.7577 0.7414
O4 0.5000 0.5000 0.1610
O5 0.7577 0.2423 0.7414
O6 0.7577 0.7577 0.7414

Largest 12 diffraction maxima, sorted by position, 10° ≤ 2θ ≤ 90°:
2theta  I (rel.)
15.80  14
27.32  100
31.51  35
31.91  13
39.18  11
45.17  18
45.46  28
53.60  32
54.11  13
56.37  11
73.07  11
83.60  9

[2]
For YSb2W, a structure optimized by DFT (PBE) gives the simulated powder diffraction line list in this record (λ = 1.5418 Å (Cu Kα)).
Kinematic intensities with the Lorentz-polarization factor, no thermal factor.

Structure:
Unit cell a=4.9847 b=4.9847 c=3.5642 alpha=90.00 beta=90.00 gamma=90.00
Atoms (fractional coordinates):
Y1 0.0000 0.0000 0.0000
Sb1 0.0000 0.5000 0.5000
Sb2 0.5000 0.0000 0.5000
W1 0.5000 0.5000 0.0000

Largest 12 diffraction maxima, sorted by position, 10° ≤ 2θ ≤ 90°:
2theta  I (rel.)
17.79  8
35.83  100
36.04  49
51.26  9
51.88  17
64.25  18
64.66  35
75.94  11
76.43  5
86.43  8
87.40  8
87.52  8

[3]
For CuAuI4, a structure optimized by DFT (PBE) gives the simulated powder diffraction line list in this record (λ = 1.5418 Å (Cu Kα)).
Kinematic intensities with the Lorentz-polarization factor, no thermal factor.

Structure:
Unit cell a=7.3415 b=7.3415 c=17.7521 alpha=90.00 beta=90.00 gamma=120.00
Atoms (fractional coordinates):
Cu1 0.0000 0.4612 0.1667
Cu2 0.4612 0.0000 0.8333
Cu3 0.5388 0.5388 0.5000
Au1 0.0000 0.5009 0.6667
Au2 0.4991 0.4991 0.0000
Au3 0.5009 0.0000 0.3333
I1 0.0786 0.7675 0.7853
I2 0.1395 0.7968 0.2505
I3 0.2032 0.3428 0.5838
I4 0.2325 0.3111 0.1187
I5 0.3111 0.2325 0.8813
I6 0.3428 0.2032 0.4162
I7 0.6572 0.8605 0.9171
I8 0.6889 0.9214 0.4520
I9 0.7675 0.0786 0.2147
I10 0.7968 0.1395 0.7495
I11 0.8605 0.6572 0.0829
I12 0.9214 0.6889 0.5480

Largest 12 diffraction maxima, sorted by position, 10° ≤ 2θ ≤ 90°:
2theta  I (rel.)
14.80  14
17.16  100
24.25  27
24.46  12
31.63  44
31.96  11
35.17  8
38.21  10
38.82  31
41.70  21
47.55  12
49.67  9

[4]
For SmCdGa2Pt5, a structure optimized by DFT (PBE) gives the simulated powder diffraction line list in this record (λ = 1.5418 Å (Cu Kα)).
Kinematic intensities with the Lorentz-polarization factor, no thermal factor.

Structure:
Unit cell a=4.1438 b=4.1438 c=9.5602 alpha=90.00 beta=90.00 gamma=90.00
Atoms (fractional coordinates):
Sm1 0.0000 0.0000 0.0000
Cd1 0.0000 0.0000 0.5000
Ga1 0.5000 0.5000 0.3723
Ga2 0.5000 0.5000 0.6277
Pt1 0.0000 0.5000 0.2260
Pt2 0.0000 0.5000 0.7740
Pt3 0.5000 0.0000 0.2260
Pt4 0.5000 0.0000 0.7740
Pt5 0.5000 0.5000 0.0000

Largest 12 diffraction maxima, sorted by position, 10° ≤ 2θ ≤ 90°:
2theta  I (rel.)
18.56  7
35.95  100
37.64  14
41.88  21
43.69  41
59.00  15
63.50  14
66.55  9
66.83  12
75.18  24
76.22  7
79.00  7

[5]
For Er5Bi2, a structure optimized by DFT (PBE) gives the simulated powder diffraction line list in this record (λ = 1.5418 Å (Cu Kα)).
Kinematic intensities with the Lorentz-polarization factor, no thermal factor.

Structure:
Unit cell a=19.8728 b=19.8728 c=4.5469 alpha=90.00 beta=90.00 gamma=166.79
Atoms (fractional coordinates):
Er1 0.0336 0.9664 0.7500
Er2 0.1768 0.8232 0.2500
Er3 0.2499 0.7501 0.7500
Er4 0.3910 0.6090 0.2500
Er5 0.4654 0.5346 0.7500
Er6 0.5346 0.4654 0.2500
Er7 0.6090 0.3910 0.7500
Er8 0.7501 0.2499 0.2500
Er9 0.8232 0.1768 0.7500
Er10 0.9664 0.0336 0.2500
Bi1 0.0964 0.9036 0.2500
Bi2 0.3117 0.6883 0.2500
Bi3 0.6883 0.3117 0.7500
Bi4 0.9036 0.0964 0.7500

Largest 12 diffraction maxima, sorted by position, 10° ≤ 2θ ≤ 90°:
2theta  I (rel.)
27.77  21
29.94  76
31.73  42
34.53  100
39.44  34
39.64  30
51.47  22
51.64  22
57.16  23
61.17  20
66.86  20
68.37  14

[6]
For Sm5P4S, a structure optimized by DFT (PBE) gives the simulated powder diffraction line list in this record (λ = 1.5418 Å (Cu Kα)).
Kinematic intensities with the Lorentz-polarization factor, no thermal factor.

Structure:
Unit cell a=7.0855 b=7.0855 c=7.0855 alpha=99.59 beta=99.59 gamma=131.83
Atoms (fractional coordinates):
Sm1 0.0000 0.0000 0.0000
Sm2 0.1969 0.3985 0.5954
Sm3 0.3985 0.8031 0.2016
Sm4 0.6015 0.1969 0.7984
Sm5 0.8031 0.6015 0.4046
P1 0.1001 0.7014 0.8015
P2 0.2986 0.1001 0.3987
P3 0.7014 0.8999 0.6013
P4 0.8999 0.2986 0.1985
S1 0.5000 0.5000 0.0000

Largest 10 diffraction maxima, sorted by position, 10° ≤ 2θ ≤ 90°:
2theta  I (rel.)
26.69  81
30.92  100
44.29  73
52.46  40
54.99  26
64.43  12
71.03  16
73.17  33
81.52  25
87.65  13

[7]
For Ca3CuPd, a structure optimized by DFT (PBE) gives the simulated powder diffraction line list in this record (λ = 1.5418 Å (Cu Kα)).
Kinematic intensities with the Lorentz-polarization factor, no thermal factor.

Structure:
Unit cell a=7.9904 b=4.1829 c=8.4378 alpha=90.00 beta=110.24 gamma=90.00
Atoms (fractional coordinates):
Ca1 0.0944 0.2500 0.2304
Ca2 0.3135 0.2500 0.9314
Ca3 0.3653 0.7500 0.5939
Ca4 0.6347 0.2500 0.4061
Ca5 0.6865 0.7500 0.0686
Ca6 0.9056 0.7500 0.7696
Cu1 0.0503 0.2500 0.5736
Cu2 0.9497 0.7500 0.4264
Pd1 0.3638 0.7500 0.2004
Pd2 0.6362 0.2500 0.7996

Largest 12 diffraction maxima, sorted by position, 10° ≤ 2θ ≤ 90°:
2theta  I (rel.)
18.91  74
21.45  43
22.46  51
24.06  38
31.11  29
32.06  100
34.20  77
35.94  36
36.16  80
38.57  66
40.20  30
43.26  49

[8]
For Ac3MgTl5, a structure optimized by DFT (PBE) gives the simulated powder diffraction line list in this record (λ = 1.5418 Å (Cu Kα)).
Kinematic intensities with the Lorentz-polarization factor, no thermal factor.

Structure:
Unit cell a=9.8708 b=9.8708 c=6.9282 alpha=90.00 beta=90.00 gamma=120.00
Atoms (fractional coordinates):
Ac1 0.0000 0.3560 0.2500
Ac2 0.0000 0.6440 0.7500
Ac3 0.3560 0.0000 0.2500
Ac4 0.3560 0.3560 0.7500
Ac5 0.6440 0.0000 0.7500
Ac6 0.6440 0.6440 0.2500
Mg1 0.0000 0.0000 0.0000
Mg2 0.0000 0.0000 0.5000
Tl1 0.0000 0.3050 0.7500
Tl2 0.0000 0.6950 0.2500
Tl3 0.3050 0.0000 0.7500
Tl4 0.3050 0.3050 0.2500
Tl5 0.3333 0.6667 0.0000
Tl6 0.3333 0.6667 0.5000
Tl7 0.6667 0.3333 0.0000
Tl8 0.6667 0.3333 0.5000
Tl9 0.6950 0.0000 0.2500
Tl10 0.6950 0.6950 0.7500

Largest 12 diffraction maxima, sorted by position, 10° ≤ 2θ ≤ 90°:
2theta  I (rel.)
10.35  13
25.72  15
30.53  15
31.39  100
31.55  84
41.01  21
45.11  29
55.89  16
55.99  28
62.78  29
74.54  12
80.53  11